MgSi2NiO6: theoretical PXRD pattern (Cu Kα, 1.54184 Å), based on a structure optimized by DFT (GGA+U).
Intensities are scaled so that the largest is 100.

Cell and atoms:
```
data_MgSi2NiO6
_chemical_formula_sum 'Mg4 Si8 Ni4 O24'
_space_group_name_H-M_alt 'C 1 2/c 1'
_space_group_IT_number 15
_cell_length_a 9.7714
_cell_length_b 9.0047
_cell_length_c 5.2826
_cell_angle_alpha 90.00
_cell_angle_beta 108.80
_cell_angle_gamma 90.00
loop_
_space_group_symop_operation_xyz
'x,y,z'
'-x,-y,-z'
'-x,y,-z+1/2'
'x,-y,z+1/2'
'x+1/2,y+1/2,z'
'-x+1/2,-y+1/2,-z'
'-x+1/2,y+1/2,-z+1/2'
'x+1/2,-y+1/2,z+1/2'
loop_
_atom_site_label
_atom_site_type_symbol
_atom_site_fract_x
_atom_site_fract_y
_atom_site_fract_z
Mg1 Mg 0.0000 0.2460 0.2500
Si1 Si 0.2017 0.4110 0.7471
Ni1 Ni 0.0000 0.0976 0.7500
O1 O 0.1204 0.0891 0.1481
O2 O 0.1234 0.2556 0.6330
O3 O 0.1464 0.4688 0.9951
```

Most intense lines, 2θ = 15–90°, in order of rising 2θ:
| 2θ/deg | I/Imax |
| --- | --- |
| 29.38 | 100 |
| 30.65 | 84 |
| 34.59 | 67 |
| 35.92 | 39 |
| 36.38 | 40 |
| 41.56 | 21 |
| 41.82 | 39 |
| 43.94 | 20 |
| 56.17 | 48 |
| 61.57 | 18 |
| 67.02 | 32 |
| 73.61 | 18 |

***

Mg6VBiO8: theoretical PXRD pattern (Cu Kα, 1.54184 Å), based on a structure optimized by DFT (GGA+U).
Intensities are scaled so that the largest is 100.

Cell and atoms:
```
data_Mg6VBiO8
_chemical_formula_sum 'Mg6 V1 Bi1 O8'
_space_group_name_H-M_alt 'P 4/m m m'
_space_group_IT_number 123
_space_group_name_Hall '-P 4 2'
_cell_length_a 4.5086
_cell_length_b 4.5086
_cell_length_c 9.0490
_cell_angle_alpha 90.00
_cell_angle_beta 90.00
_cell_angle_gamma 90.00
loop_
_atom_site_label
_atom_site_type_symbol
_atom_site_fract_x
_atom_site_fract_y
_atom_site_fract_z
Mg1 Mg 0.0000 0.0000 0.0000
Mg2 Mg 0.0000 0.0000 0.5000
Mg3 Mg 0.0000 0.5000 0.2341
V1 V 0.5000 0.5000 0.0000
Bi1 Bi 0.5000 0.5000 0.5000
O1 O 0.0000 0.0000 0.2488
O2 O 0.0000 0.5000 0.0000
O3 O 0.0000 0.5000 0.5000
O4 O 0.5000 0.5000 0.2318
```

Most intense lines, 2θ = 15–90°, in order of rising 2θ:
| 2θ/deg | I/Imax |
| --- | --- |
| 19.67 | 100 |
| 22.03 | 54 |
| 27.95 | 86 |
| 29.68 | 42 |
| 34.41 | 61 |
| 39.85 | 37 |
| 39.99 | 77 |
| 44.88 | 32 |
| 49.46 | 38 |
| 57.73 | 46 |
| 57.85 | 24 |
| 72.55 | 22 |

***

Li4Fe7P6O24: theoretical PXRD pattern (Cu Kα, 1.54184 Å), based on a structure optimized by DFT (GGA+U).
Intensities are scaled so that the largest is 100.

Cell and atoms:
```
data_Li4Fe7P6O24
_chemical_formula_sum 'Li8 Fe14 P12 O48'
_space_group_name_H-M_alt 'C 1 m 1'
_space_group_IT_number 8
_cell_length_a 11.1686
_cell_length_b 14.1125
_cell_length_c 6.5138
_cell_angle_alpha 90.00
_cell_angle_beta 104.69
_cell_angle_gamma 90.00
loop_
_space_group_symop_operation_xyz
'x,y,z'
'x,-y,z'
'x+1/2,y+1/2,z'
'x+1/2,-y+1/2,z'
loop_
_atom_site_label
_atom_site_type_symbol
_atom_site_fract_x
_atom_site_fract_y
_atom_site_fract_z
Li1 Li 0.0000 0.0000 0.0000
Li2 Li 0.1947 0.5000 0.0893
Li3 Li 0.3908 0.1174 0.0264
Fe1 Fe 0.1094 0.1831 0.3723
Fe2 Fe 0.2591 0.3186 0.7437
Fe3 Fe 0.4288 0.5000 0.5434
Fe4 Fe 0.4315 0.1433 0.5379
P1 P 0.0249 0.1927 0.8441
P2 P 0.1087 0.5000 0.4808
P3 P 0.2467 0.0000 0.6362
P4 P 0.3337 0.3128 0.2599
O1 O 0.1051 0.2134 0.6853
O2 O 0.1063 0.4113 0.6266
O3 O 0.1084 0.1722 0.0643
O4 O 0.1202 0.0000 0.6844
O5 O 0.2273 0.5000 0.4007
O6 O 0.2504 0.3500 0.0478
O7 O 0.2561 0.2930 0.4234
O8 O 0.2599 0.0895 0.4980
O9 O 0.3547 0.0000 0.8390
O10 O 0.4060 0.2182 0.2468
O11 O 0.4337 0.2202 0.8255
O12 O 0.4346 0.3949 0.7846
O13 O 0.4367 0.3897 0.3351
O14 O 0.4893 0.0000 0.2988
```

Most intense lines, 2θ = 15–90°, in order of rising 2θ:
| 2θ/deg | I/Imax |
| --- | --- |
| 23.79 | 61 |
| 31.09 | 22 |
| 31.28 | 100 |
| 32.59 | 17 |
| 33.48 | 72 |
| 37.04 | 26 |
| 38.27 | 22 |
| 40.61 | 21 |
| 42.02 | 15 |
| 46.14 | 15 |
| 50.70 | 15 |
| 56.58 | 17 |

***

Li9Mn7O16: theoretical PXRD pattern (Cu Kα, 1.54184 Å), based on a structure optimized by DFT (GGA+U).
Intensities are scaled so that the largest is 100.

Cell and atoms:
```
data_Li9Mn7O16
_chemical_formula_sum 'Li9 Mn7 O16'
_space_group_name_H-M_alt 'P -1'
_space_group_IT_number 2
_cell_length_a 5.8329
_cell_length_b 6.0128
_cell_length_c 10.1071
_cell_angle_alpha 87.16
_cell_angle_beta 73.35
_cell_angle_gamma 61.62
loop_
_space_group_symop_operation_xyz
'x,y,z'
'-x,-y,-z'
loop_
_atom_site_label
_atom_site_type_symbol
_atom_site_fract_x
_atom_site_fract_y
_atom_site_fract_z
Li1 Li 0.0000 0.0000 0.0000
Li2 Li 0.0000 0.0000 0.5000
Li3 Li 0.0000 0.5000 0.0000
Li4 Li 0.0053 0.7454 0.7509
Li5 Li 0.4946 0.2560 0.7539
Li6 Li 0.5000 0.0000 0.0000
Li7 Li 0.5000 0.5000 0.5000
Mn1 Mn 0.0000 0.5000 0.5000
Mn2 Mn 0.0054 0.7446 0.2449
Mn3 Mn 0.4879 0.7629 0.7551
Mn4 Mn 0.5000 0.0000 0.5000
Mn5 Mn 0.5000 0.5000 0.0000
O1 O 0.2220 0.3841 0.6264
O2 O 0.2402 0.6089 0.3697
O3 O 0.2461 0.1153 0.8620
O4 O 0.2666 0.8243 0.1171
O5 O 0.2700 0.8694 0.6222
O6 O 0.2752 0.6240 0.8740
O7 O 0.2783 0.1173 0.3717
O8 O 0.2816 0.3592 0.1172
```

Most intense lines, 2θ = 15–90°, in order of rising 2θ:
| 2θ/deg | I/Imax |
| --- | --- |
| 18.30 | 100 |
| 33.87 | 18 |
| 36.15 | 12 |
| 36.31 | 13 |
| 40.73 | 35 |
| 44.16 | 27 |
| 44.31 | 27 |
| 61.28 | 8 |
| 61.57 | 8 |
| 61.95 | 16 |
| 63.84 | 7 |
| 64.86 | 7 |

***

Fe2CuO4: theoretical PXRD pattern (Cu Kα, 1.54184 Å), based on a structure optimized by DFT (GGA+U).
Intensities are scaled so that the largest is 100.

Cell and atoms:
```
data_Fe2CuO4
_chemical_formula_sum 'Fe32 Cu16 O64'
_space_group_name_H-M_alt 'C 1 m 1'
_space_group_IT_number 8
_cell_length_a 10.5696
_cell_length_b 5.9580
_cell_length_c 19.7736
_cell_angle_alpha 90.00
_cell_angle_beta 97.44
_cell_angle_gamma 90.00
loop_
_space_group_symop_operation_xyz
'x,y,z'
'x,-y,z'
'x+1/2,y+1/2,z'
'x+1/2,-y+1/2,z'
loop_
_atom_site_label
_atom_site_type_symbol
_atom_site_fract_x
_atom_site_fract_y
_atom_site_fract_z
Fe1 Fe 0.0000 0.0000 0.0000
Fe2 Fe 0.0031 0.5000 0.5005
Fe3 Fe 0.1053 0.0000 0.2873
Fe4 Fe 0.2112 0.5000 0.0677
Fe5 Fe 0.2268 0.2456 0.4094
Fe6 Fe 0.2271 0.2505 0.9076
Fe7 Fe 0.2453 0.0000 0.7468
Fe8 Fe 0.2589 0.5000 0.2534
Fe9 Fe 0.3506 0.5000 0.5340
Fe10 Fe 0.4570 0.5000 0.8187
Fe11 Fe 0.4712 0.2488 0.6576
Fe12 Fe 0.4840 0.2456 0.1593
Cu1 Cu 0.1020 0.5000 0.7822
Cu2 Cu 0.1978 0.0000 0.5676
Cu3 Cu 0.2251 0.5000 0.6567
Cu4 Cu 0.2345 0.0000 0.1601
Cu5 Cu 0.3548 0.0000 0.0344
Cu6 Cu 0.4514 0.0000 0.3166
Cu7 Cu 0.4771 0.0000 0.9094
Cu8 Cu 0.4815 0.5000 0.4100
O1 O 0.0203 0.0000 0.5961
O2 O 0.0204 0.5000 0.5965
O3 O 0.0362 0.0000 0.0993
O4 O 0.0509 0.5000 0.1033
O5 O 0.0518 0.2713 0.8490
O6 O 0.0534 0.2344 0.3511
O7 O 0.1506 0.2701 0.7141
O8 O 0.1602 0.0000 0.9639
O9 O 0.1621 0.2349 0.2199
O10 O 0.1655 0.0000 0.4659
O11 O 0.1744 0.5000 0.4720
O12 O 0.1792 0.5000 0.9699
O13 O 0.2764 0.0000 0.8459
O14 O 0.2775 0.0000 0.3478
O15 O 0.2898 0.5000 0.3511
O16 O 0.2928 0.2723 0.5999
O17 O 0.2986 0.5000 0.8542
O18 O 0.3058 0.2346 0.1001
O19 O 0.4036 0.0000 0.7124
O20 O 0.4051 0.2611 0.4691
O21 O 0.4060 0.2304 0.9686
O22 O 0.4239 0.0000 0.2156
O23 O 0.4279 0.5000 0.7212
O24 O 0.4296 0.5000 0.2218
```

Most intense lines, 2θ = 15–90°, in order of rising 2θ:
| 2θ/deg | I/Imax |
| --- | --- |
| 29.46 | 51 |
| 34.16 | 100 |
| 35.26 | 81 |
| 35.46 | 95 |
| 41.11 | 21 |
| 43.16 | 36 |
| 54.48 | 26 |
| 56.86 | 28 |
| 57.09 | 22 |
| 61.13 | 81 |
| 62.34 | 20 |
| 63.03 | 19 |

***

Li2FeF4: theoretical PXRD pattern (Cu Kα, 1.54184 Å), based on a structure optimized by DFT (GGA+U).
Intensities are scaled so that the largest is 100.

Cell and atoms:
```
data_Li2FeF4
_chemical_formula_sum 'Li16 Fe8 F32'
_space_group_name_H-M_alt 'P n a 21'
_space_group_IT_number 33
_cell_length_a 9.7955
_cell_length_b 7.3996
_cell_length_c 8.9100
_cell_angle_alpha 90.00
_cell_angle_beta 90.00
_cell_angle_gamma 90.00
loop_
_space_group_symop_operation_xyz
'x,y,z'
'-x,-y,z+1/2'
'-x+1/2,y+1/2,z+1/2'
'x+1/2,-y+1/2,z'
loop_
_atom_site_label
_atom_site_type_symbol
_atom_site_fract_x
_atom_site_fract_y
_atom_site_fract_z
Li1 Li 0.0855 0.1902 0.0000
Li2 Li 0.1013 0.7899 0.9978
Li3 Li 0.1402 0.2160 0.6681
Li4 Li 0.1621 0.7330 0.6692
Fe1 Fe 0.1159 0.5227 0.3271
Fe2 Fe 0.2022 0.0196 0.3867
F1 F 0.0042 0.0174 0.4364
F2 F 0.0405 0.7162 0.1833
F3 F 0.0547 0.6445 0.5168
F4 F 0.0869 0.6094 0.8434
F5 F 0.1668 0.1199 0.1765
F6 F 0.2023 0.3010 0.4671
F7 F 0.2192 0.2645 0.8586
F8 F 0.2345 0.9773 0.6581
```

Most intense lines, 2θ = 15–90°, in order of rising 2θ:
| 2θ/deg | I/Imax |
| --- | --- |
| 18.06 | 44 |
| 19.93 | 91 |
| 20.69 | 100 |
| 24.05 | 36 |
| 25.04 | 28 |
| 31.43 | 53 |
| 31.59 | 50 |
| 31.94 | 72 |
| 37.44 | 29 |
| 43.21 | 27 |
| 48.04 | 32 |
| 53.70 | 28 |

***

Li9Mn2Co5O16: theoretical PXRD pattern (Cu Kα, 1.54184 Å), based on a structure optimized by DFT (GGA+U).
Intensities are scaled so that the largest is 100.

Cell and atoms:
```
data_Li9Mn2Co5O16
_chemical_formula_sum 'Li9 Mn2 Co5 O16'
_space_group_name_H-M_alt 'P 1'
_space_group_IT_number 1
_cell_length_a 5.0876
_cell_length_b 5.7914
_cell_length_c 10.4859
_cell_angle_alpha 74.78
_cell_angle_beta 76.93
_cell_angle_gamma 74.16
loop_
_space_group_symop_operation_xyz
'x,y,z'
loop_
_atom_site_label
_atom_site_type_symbol
_atom_site_fract_x
_atom_site_fract_y
_atom_site_fract_z
Li1 Li 0.0000 0.0000 0.0000
Li2 Li 0.0010 0.1203 0.2467
Li3 Li 0.0005 0.7629 0.4893
Li4 Li 0.0016 0.6347 0.2465
Li5 Li 0.0029 0.5020 0.9999
Li6 Li 0.0072 0.8766 0.7468
Li7 Li 0.5032 0.9363 0.3718
Li8 Li 0.9984 0.3809 0.7480
Li9 Li 0.9991 0.2581 0.4916
Mn1 Mn 0.5023 0.0654 0.6167
Mn2 Mn 0.5064 0.4447 0.3730
Co1 Co 0.4899 0.3069 0.1313
Co2 Co 0.5003 0.6940 0.8743
Co3 Co 0.4998 0.8191 0.1293
Co4 Co 0.5007 0.1970 0.8723
Co5 Co 0.5016 0.5718 0.6184
O1 O 0.2638 0.1519 0.0580
O2 O 0.2686 0.7594 0.3134
O3 O 0.2738 0.6564 0.0575
O4 O 0.2764 0.9035 0.5669
O5 O 0.2767 0.0438 0.7983
O6 O 0.2781 0.2936 0.3047
O7 O 0.2807 0.5404 0.7996
O8 O 0.2840 0.4023 0.5552
O9 O 0.7191 0.2386 0.6797
O10 O 0.7236 0.5886 0.4428
O11 O 0.7247 0.1139 0.4416
O12 O 0.7248 0.7393 0.6743
O13 O 0.7286 0.3466 0.9360
O14 O 0.7324 0.4683 0.1990
O15 O 0.7349 0.8460 0.9276
O16 O 0.7392 0.9683 0.1756
```

Most intense lines, 2θ = 15–90°, in order of rising 2θ:
| 2θ/deg | I/Imax |
| --- | --- |
| 18.38 | 100 |
| 36.02 | 27 |
| 36.58 | 12 |
| 37.75 | 7 |
| 43.54 | 55 |
| 44.30 | 26 |
| 47.87 | 13 |
| 57.39 | 9 |
| 63.09 | 8 |
| 63.39 | 22 |
| 64.34 | 14 |
| 80.63 | 6 |